(1)
This entry pairs a crystal structure of Rb2NaAuF6 with its computed X-ray powder pattern. Radiation: a wavelength of 1.5418 Å. Structure: a DFT-relaxed cell (GGA-PBE, the Materials Project).

Crystal structure
```
data_Rb2NaAuF6
_chemical_formula_sum 'Rb8 Na4 Au4 F24'
_cell_length_a 8.8954
_cell_length_b 8.8954
_cell_length_c 8.8954
_cell_angle_alpha 90.00
_cell_angle_beta 90.00
_cell_angle_gamma 90.00
_space_group_name_H-M_alt 'F m -3 m'
_space_group_IT_number 225
_space_group_name_Hall '-F 4 2 3'
loop_
_atom_site_label
_atom_site_type_symbol
_atom_site_fract_x
_atom_site_fract_y
_atom_site_fract_z
Rb1 Rb 0.2500 0.2500 0.2500
Na1 Na 0.0000 0.0000 0.0000
Au1 Au 0.0000 0.0000 0.5000
F1 F 0.0000 0.0000 0.2579
```

The 12 most intense peaks (10° ≤ 2θ ≤ 90°), in order of falling intensity:
two_theta, I_rel, hkl
28.4, 100, 2 2 0
17.3, 53, 1 1 1
50.2, 42, 4 2 2
40.6, 39, 4 0 0
33.4, 30, 3 1 1
58.7, 25, 4 4 0
80.9, 22, 6 4 2
66.5, 19, 6 2 0
44.4, 13, 3 3 1
53.5, 12, 5 1 1
61.7, 12, 5 3 1
73.8, 8, 4 4 4


(2)
This entry pairs a crystal structure of Na2RhAuF6 with its computed X-ray powder pattern. Radiation: a wavelength of 1.5418 Å. Structure: a DFT-relaxed cell (GGA-PBE, the Materials Project).

Crystal structure
```
data_Na2RhAuF6
_chemical_formula_sum 'Na8 Rh4 Au4 F24'
_cell_length_a 8.7319
_cell_length_b 8.7319
_cell_length_c 8.7319
_cell_angle_alpha 90.00
_cell_angle_beta 90.00
_cell_angle_gamma 90.00
_space_group_name_H-M_alt 'F m -3 m'
_space_group_IT_number 225
_space_group_name_Hall '-F 4 2 3'
loop_
_atom_site_label
_atom_site_type_symbol
_atom_site_fract_x
_atom_site_fract_y
_atom_site_fract_z
Na1 Na 0.2500 0.2500 0.2500
Rh1 Rh 0.0000 0.0000 0.0000
Au1 Au 0.0000 0.0000 0.5000
F1 F 0.0000 0.0000 0.2322
```

The 12 most intense peaks (10° ≤ 2θ ≤ 90°), in order of falling intensity:
two_theta, I_rel, hkl
20.3, 100, 2 0 0
28.9, 95, 2 2 0
46.5, 44, 4 2 0
41.4, 39, 4 0 0
51.3, 39, 4 2 2
59.9, 24, 4 4 0
64.0, 21, 6 0 0
82.7, 21, 6 4 2
67.9, 18, 6 2 0
34.1, 12, 3 1 1
17.6, 11, 1 1 1
79.1, 10, 6 4 0


(3)
This entry pairs a crystal structure of Na2SbAuF6 with its computed X-ray powder pattern. Radiation: a wavelength of 1.5418 Å. Structure: a DFT-relaxed cell (GGA-PBE, the Materials Project).

Crystal structure
```
data_Na2SbAuF6
_chemical_formula_sum 'Na8 Sb4 Au4 F24'
_cell_length_a 9.2386
_cell_length_b 9.2386
_cell_length_c 9.2386
_cell_angle_alpha 90.00
_cell_angle_beta 90.00
_cell_angle_gamma 90.00
_space_group_name_H-M_alt 'F m -3 m'
_space_group_IT_number 225
_space_group_name_Hall '-F 4 2 3'
loop_
_atom_site_label
_atom_site_type_symbol
_atom_site_fract_x
_atom_site_fract_y
_atom_site_fract_z
Na1 Na 0.2500 0.2500 0.2500
Sb1 Sb 0.0000 0.0000 0.0000
Au1 Au 0.0000 0.0000 0.5000
F1 F 0.0000 0.0000 0.2340
```

The 12 most intense peaks (10° ≤ 2θ ≤ 90°), in order of falling intensity:
two_theta, I_rel, hkl
19.2, 100, 2 0 0
27.3, 96, 2 2 0
43.8, 47, 4 2 0
48.3, 41, 4 2 2
39.0, 40, 4 0 0
56.3, 25, 4 4 0
60.1, 23, 6 0 0
77.3, 22, 6 4 2
63.7, 19, 6 2 0
87.0, 13, 6 4 4
74.0, 10, 6 4 0
70.6, 8, 4 4 4


(4)
This entry pairs a crystal structure of Na2TaAuF6 with its computed X-ray powder pattern. Radiation: a wavelength of 1.5418 Å. Structure: a DFT-relaxed cell (GGA-PBE, the Materials Project).

Crystal structure
```
data_Na2TaAuF6
_chemical_formula_sum 'Na8 Ta4 Au4 F24'
_cell_length_a 9.9702
_cell_length_b 9.9702
_cell_length_c 9.9702
_cell_angle_alpha 90.00
_cell_angle_beta 90.00
_cell_angle_gamma 90.00
_space_group_name_H-M_alt 'F m -3 m'
_space_group_IT_number 225
_space_group_name_Hall '-F 4 2 3'
loop_
_atom_site_label
_atom_site_type_symbol
_atom_site_fract_x
_atom_site_fract_y
_atom_site_fract_z
Na1 Na 0.2500 0.2500 0.2500
Ta1 Ta 0.0000 0.0000 0.0000
Au1 Au 0.0000 0.0000 0.5000
F1 F 0.0000 0.0000 0.1930
```

The 12 most intense peaks (10° ≤ 2θ ≤ 90°), in order of falling intensity:
two_theta, I_rel, hkl
25.3, 100, 2 2 0
17.8, 100, 2 0 0
40.5, 42, 4 2 0
44.5, 38, 4 2 2
36.0, 32, 4 0 0
58.6, 25, 6 2 0
70.7, 25, 6 4 2
55.3, 21, 6 0 0
51.9, 19, 4 4 0
31.1, 13, 2 2 2
79.2, 12, 6 4 4
67.8, 12, 6 4 0


(5)
This entry pairs a crystal structure of Te4AuO4F20 with its computed X-ray powder pattern. Radiation: a wavelength of 1.5418 Å. Structure: a DFT-relaxed cell (GGA-PBE, the Materials Project).

Crystal structure
```
data_Te4AuO4F20
_chemical_formula_sum 'Te4 Au1 O4 F20'
_cell_length_a 5.8233
_cell_length_b 8.8155
_cell_length_c 10.5250
_cell_angle_alpha 113.79
_cell_angle_beta 92.75
_cell_angle_gamma 93.45
_space_group_name_H-M_alt 'P -1'
_space_group_IT_number 2
loop_
_space_group_symop_operation_xyz
'x,y,z'
'-x,-y,-z'
loop_
_atom_site_label
_atom_site_type_symbol
_atom_site_fract_x
_atom_site_fract_y
_atom_site_fract_z
Te1 Te 0.2407 0.1123 0.2467
Te2 Te 0.2446 0.3676 0.7550
Au1 Au 0.0000 0.0000 0.5000
O1 O 0.2148 0.9784 0.3540
O2 O 0.2499 0.1302 0.6456
F1 F 0.0379 0.6293 0.3393
F2 F 0.0418 0.9828 0.8557
F3 F 0.0893 0.2854 0.3759
F4 F 0.0899 0.3292 0.8922
F5 F 0.2376 0.5958 0.8572
F6 F 0.2754 0.2400 0.1432
F7 F 0.3912 0.9429 0.1175
F8 F 0.4113 0.4117 0.6235
F9 F 0.4712 0.7912 0.6576
F10 F 0.4749 0.6306 0.1506
```

The 12 most intense peaks (10° ≤ 2θ ≤ 90°), in order of falling intensity:
two_theta, I_rel, hkl
18.1, 100, 1 -1 0
18.8, 89, 1 -1 1
22.8, 55, 1 1 -2
27.3, 48, 0 2 1
27.7, 47, 0 2 -3
18.5, 47, 0 0 2
24.1, 46, 1 1 1
37.5, 39, 2 0 2
11.1, 36, 0 1 -1
11.0, 35, 0 1 0
20.2, 29, 0 2 -1
30.9, 24, 1 1 2


(6)
This entry pairs a crystal structure of RbAuF3 with its computed X-ray powder pattern. Radiation: a wavelength of 1.5418 Å. Structure: a DFT-relaxed cell (GGA-PBE, the Materials Project).

Crystal structure
```
data_RbAuF3
_chemical_formula_sum 'Rb1 Au1 F3'
_cell_length_a 4.5144
_cell_length_b 4.5144
_cell_length_c 4.5144
_cell_angle_alpha 90.00
_cell_angle_beta 90.00
_cell_angle_gamma 90.00
_space_group_name_H-M_alt 'P m -3 m'
_space_group_IT_number 221
_space_group_name_Hall '-P 4 2 3'
loop_
_atom_site_label
_atom_site_type_symbol
_atom_site_fract_x
_atom_site_fract_y
_atom_site_fract_z
Rb1 Rb 0.0000 0.0000 0.0000
Au1 Au 0.5000 0.5000 0.5000
F1 F 0.0000 0.5000 0.5000
```

The 12 most intense peaks (10° ≤ 2θ ≤ 90°), in order of falling intensity:
two_theta, I_rel, hkl
28.0, 100, 1 1 0
49.5, 43, 2 1 1
39.9, 33, 2 0 0
19.7, 28, 1 0 0
79.4, 23, 3 2 1
57.8, 21, 2 2 0
65.4, 19, 3 1 0
44.9, 14, 2 1 0
72.5, 7, 2 2 2
61.6, 7, 3 0 0
89.5, 4, 4 1 0
86.2, 3, 4 0 0


(7)
This entry pairs a crystal structure of Rb2TlAuF6 with its computed X-ray powder pattern. Radiation: a wavelength of 1.5418 Å. Structure: a DFT-relaxed cell (GGA-PBE, the Materials Project).

Crystal structure
```
data_Rb2TlAuF6
_chemical_formula_sum 'Rb8 Tl4 Au4 F24'
_cell_length_a 9.2572
_cell_length_b 9.2572
_cell_length_c 9.2572
_cell_angle_alpha 90.00
_cell_angle_beta 90.00
_cell_angle_gamma 90.00
_space_group_name_H-M_alt 'F m -3 m'
_space_group_IT_number 225
_space_group_name_Hall '-F 4 2 3'
loop_
_atom_site_label
_atom_site_type_symbol
_atom_site_fract_x
_atom_site_fract_y
_atom_site_fract_z
Rb1 Rb 0.2500 0.2500 0.2500
Tl1 Tl 0.0000 0.0000 0.0000
Au1 Au 0.0000 0.0000 0.5000
F1 F 0.0000 0.0000 0.2442
```

The 12 most intense peaks (10° ≤ 2θ ≤ 90°), in order of falling intensity:
two_theta, I_rel, hkl
27.2, 100, 2 2 0
48.2, 43, 4 2 2
38.9, 33, 4 0 0
19.2, 28, 2 0 0
77.1, 23, 6 4 2
56.2, 22, 4 4 0
63.6, 19, 6 2 0
43.7, 14, 4 2 0
89.9, 12, 6 6 0
70.5, 7, 4 4 4
60.0, 7, 6 0 0
86.7, 4, 6 4 4


(8)
This entry pairs a crystal structure of Rb2YAuF6 with its computed X-ray powder pattern. Radiation: a wavelength of 1.5418 Å. Structure: a DFT-relaxed cell (GGA-PBE, the Materials Project).

Crystal structure
```
data_Rb2YAuF6
_chemical_formula_sum 'Rb8 Y4 Au4 F24'
_cell_length_a 9.3774
_cell_length_b 9.3774
_cell_length_c 9.3774
_cell_angle_alpha 90.00
_cell_angle_beta 90.00
_cell_angle_gamma 90.00
_space_group_name_H-M_alt 'F m -3 m'
_space_group_IT_number 225
_space_group_name_Hall '-F 4 2 3'
loop_
_atom_site_label
_atom_site_type_symbol
_atom_site_fract_x
_atom_site_fract_y
_atom_site_fract_z
Rb1 Rb 0.2500 0.2500 0.2500
Y1 Y 0.0000 0.0000 0.0000
Au1 Au 0.0000 0.0000 0.5000
F1 F 0.0000 0.0000 0.2326
```

The 12 most intense peaks (10° ≤ 2θ ≤ 90°), in order of falling intensity:
two_theta, I_rel, hkl
26.9, 100, 2 2 0
47.5, 42, 4 2 2
38.4, 36, 4 0 0
55.4, 23, 4 4 0
75.9, 22, 6 4 2
62.7, 20, 6 2 0
18.9, 16, 2 0 0
88.5, 12, 6 6 0
31.6, 9, 3 1 1
16.4, 9, 1 1 1
69.4, 7, 4 4 4
43.1, 7, 4 2 0